Simulated XRD peak list of LaCdFe2Sb for Cu Kα X-rays, from a cell relaxed with PBE.

Structure:
Unit cell a=4.684 b=4.684 c=5.939 alpha=90.00 beta=90.00 gamma=90.00
Space group P4/mmm (No. 123)
Inequivalent atoms, fractional coordinates:
La 0.000 0.000 0.000
Cd 0.000 0.000 0.500
Fe 0.000 0.500 0.000
Sb 0.500 0.500 0.500

Peak list (10 most intense, 5 to 70 degrees two-theta, in order of falling intensity)
Position (°2θ), d_spacing, Rel. int.
38.4, 2.342, 1000
30.1, 2.969, 977
49.6, 1.839, 941
30.9, 2.893, 721
26.9, 3.312, 687
24.2, 3.678, 570
40.8, 2.211, 456
18.9, 4.684, 429
64.4, 1.446, 415
55.5, 1.656, 331



Simulated XRD peak list of Ti5Si2Pb for Cu Kα X-rays, from a cell relaxed with PBE.

Structure:
Unit cell a=6.710 b=6.710 c=12.069 alpha=90.00 beta=90.00 gamma=90.00
Space group I4/mcm (No. 140)
Inequivalent atoms, fractional coordinates:
Ti 0.000 0.000 0.000
Ti 0.161 0.339 0.140
Si 0.133 0.367 0.500
Pb 0.000 0.000 0.250

Peak list (10 most intense, 5 to 70 degrees two-theta, in order of falling intensity)
Position (°2θ), d_spacing, Rel. int.
42.6, 2.122, 1000
23.9, 3.730, 917
35.3, 2.546, 891
40.2, 2.243, 848
18.7, 4.744, 789
37.4, 2.405, 564
37.9, 2.372, 401
14.7, 6.034, 378
30.5, 2.932, 364
26.6, 3.355, 313



Simulated XRD peak list of Ta3Mo for Cu Kα X-rays, from a cell relaxed with PBE.

Structure:
Unit cell a=2.875 b=4.621 c=10.617 alpha=90.00 beta=93.94 gamma=90.00
Space group P2_1/m (No. 11)
Inequivalent atoms, fractional coordinates:
Ta 0.052 0.250 0.180
Ta 0.188 0.750 0.564
Ta 0.444 0.750 0.306
Mo 0.320 0.250 0.940

Peak list (10 most intense, 5 to 70 degrees two-theta, in order of falling intensity)
Position (°2θ), d_spacing, Rel. int.
38.4, 2.345, 1000
39.0, 2.308, 955
39.2, 2.298, 929
56.4, 1.632, 327
69.8, 1.348, 174
55.7, 1.651, 167
8.3, 10.592, 130
69.0, 1.361, 89
31.9, 2.806, 61
16.7, 5.296, 26



Simulated XRD peak list of Hf4CuMo for Cu Kα X-rays, from a cell relaxed with PBE.

Structure:
Unit cell a=3.290 b=3.290 c=10.679 alpha=90.00 beta=90.00 gamma=90.00
Space group P4/mmm (No. 123)
Inequivalent atoms, fractional coordinates:
Hf 0.000 0.000 0.153
Hf 0.500 0.500 0.343
Cu 0.000 0.000 0.500
Mo 0.500 0.500 0.000

Peak list (10 most intense, 5 to 70 degrees two-theta, in order of falling intensity)
Position (°2θ), d_spacing, Rel. int.
37.2, 2.416, 1000
38.7, 2.326, 467
69.1, 1.360, 326
66.1, 1.414, 164
55.9, 1.645, 161
28.4, 3.144, 143
51.3, 1.780, 88
52.1, 1.754, 65
33.6, 2.670, 54
67.7, 1.384, 48



Simulated XRD peak list of SmMg12Cd6 for Cu Kα X-rays, from a cell relaxed with PBE.

Structure:
Unit cell a=12.7693 b=12.7693 c=9.8094 alpha=90.00 beta=90.00 gamma=120.00
Space group R-3m (No. 166, hexagonal axes)
Inequivalent atoms, fractional coordinates:
Sm 0.0000 0.0000 0.0000
Mg 0.0000 0.3875 0.5000
Mg 0.0832 0.1664 0.3071
Cd 0.0451 0.5225 0.2420

Peak list (10 most intense, 5 to 70 degrees two-theta, in order of falling intensity)
Position (°2θ), d_spacing, Rel. int.
28.0, 3.188, 1000
23.1, 3.845, 704
40.2, 2.242, 527
24.3, 3.669, 419
40.0, 2.253, 368
19.8, 4.484, 311
36.6, 2.456, 295
36.7, 2.446, 288
59.4, 1.557, 265
30.7, 2.910, 243



Simulated XRD peak list of Ho5Cd for Cu Kα X-rays, from a cell relaxed with PBE.

Structure:
Unit cell a=12.177 b=3.715 c=8.469 alpha=90.00 beta=112.29 gamma=90.00
Space group C2/m (No. 12)
Inequivalent atoms, fractional coordinates:
Ho 0.000 0.000 0.000
Ho 0.147 0.500 0.354
Ho 0.170 0.500 0.809
Cd 0.000 0.000 0.500

Peak list (10 most intense, 5 to 70 degrees two-theta, in order of falling intensity)
Position (°2θ), d_spacing, Rel. int.
32.1, 2.792, 1000
33.9, 2.641, 893
32.4, 2.763, 519
31.3, 2.858, 448
60.0, 1.542, 408
56.4, 1.632, 186
42.7, 2.116, 172
49.0, 1.857, 167
59.3, 1.557, 145
48.5, 1.878, 141



Simulated XRD peak list of Co3H2 for Cu Kα X-rays, from a cell relaxed with PBE.

Structure:
Unit cell a=2.5829 b=2.5829 c=18.8551 alpha=90.00 beta=90.00 gamma=120.00
Space group R-3m (No. 166, hexagonal axes)
Inequivalent atoms, fractional coordinates:
Co 0.0000 0.0000 0.0000
Co 0.0000 0.0000 0.2184
H 0.0000 0.0000 0.3883

Peak list (10 most intense, 5 to 70 degrees two-theta, in order of falling intensity)
Position (°2θ), d_spacing, Rel. int.
47.2, 1.924, 1000
44.9, 2.021, 900
43.2, 2.095, 511
40.6, 2.221, 403
64.7, 1.442, 163
41.5, 2.176, 143
53.2, 1.721, 88
56.7, 1.622, 74
69.0, 1.361, 16
28.4, 3.143, 11



Simulated XRD peak list of La3PmY2Er6 for Cu Kα X-rays, from a cell relaxed with PBE.

Structure:
Unit cell a=6.228 b=10.788 c=11.822 alpha=90.00 beta=100.09 gamma=90.00
Space group C2/m (No. 12)
Inequivalent atoms, fractional coordinates:
La 0.000 0.000 0.000
La 0.000 0.333 0.000
Pm 0.000 0.500 0.500
Y 0.000 0.167 0.500
Er 0.249 0.000 0.746
Er 0.249 0.333 0.746

Peak list (10 most intense, 5 to 70 degrees two-theta, in order of falling intensity)
Position (°2θ), d_spacing, Rel. int.
30.5, 2.933, 1000
35.4, 2.535, 669
30.7, 2.910, 325
60.5, 1.529, 282
50.8, 1.798, 241
51.1, 1.787, 234
60.4, 1.533, 143
60.8, 1.523, 138
63.4, 1.467, 123
64.0, 1.455, 39



Simulated XRD peak list of Pm4CuNi for Cu Kα X-rays, from a cell relaxed with PBE.

Structure:
Unit cell a=6.050 b=3.886 c=7.151 alpha=90.00 beta=90.48 gamma=90.00
Space group Pm (No. 6)
Inequivalent atoms, fractional coordinates:
Pm 0.000 0.000 0.000
Pm 0.187 0.000 0.497
Pm 0.508 0.500 0.148
Pm 0.700 0.500 0.622
Cu 0.467 0.000 0.851
Ni 0.969 0.500 0.279

Peak list (10 most intense, 5 to 70 degrees two-theta, in order of falling intensity)
Position (°2θ), d_spacing, Rel. int.
27.3, 3.270, 1000
34.1, 2.631, 851
32.0, 2.794, 609
32.2, 2.778, 491
37.4, 2.407, 449
30.0, 2.979, 446
37.2, 2.418, 422
46.8, 1.943, 376
29.1, 3.067, 341
39.9, 2.260, 328



Simulated XRD peak list of Tm3Os for Cu Kα X-rays, from a cell relaxed with PBE.

Structure:
Unit cell a=11.528 b=11.528 c=5.960 alpha=90.00 beta=90.00 gamma=90.00
Space group I-42m (No. 121)
Inequivalent atoms, fractional coordinates:
Tm 0.000 0.358 0.000
Tm 0.096 0.096 0.739
Tm 0.204 0.204 0.295
Os 0.000 0.288 0.500

Peak list (10 most intense, 5 to 70 degrees two-theta, in order of falling intensity)
Position (°2θ), d_spacing, Rel. int.
35.5, 2.531, 1000
31.8, 2.817, 921
32.0, 2.799, 792
33.0, 2.717, 660
37.4, 2.406, 660
34.8, 2.578, 389
45.0, 2.015, 361
39.9, 2.261, 285
54.4, 1.687, 265
65.2, 1.430, 253



Simulated XRD peak list of Li3GaO3 for Cu Kα X-rays, from a cell relaxed with PBE.

Structure:
Unit cell a=9.155 b=9.155 c=3.525 alpha=90.00 beta=90.00 gamma=90.00
Space group P4_2/mnm (No. 136)
Inequivalent atoms, fractional coordinates:
Li 0.095 0.360 0.000
Li 0.174 0.174 0.500
Ga 0.116 0.884 0.000
O 0.099 0.099 0.000
O 0.110 0.679 0.000

Peak list (10 most intense, 5 to 70 degrees two-theta, in order of falling intensity)
Position (°2θ), d_spacing, Rel. int.
27.1, 3.290, 1000
13.7, 6.474, 591
21.7, 4.094, 523
39.4, 2.289, 428
28.8, 3.096, 334
56.6, 1.625, 310
48.5, 1.879, 265
56.9, 1.619, 169
40.3, 2.237, 158
37.7, 2.384, 158



Simulated XRD peak list of Mg4ZnCo for Cu Kα X-rays, from a cell relaxed with PBE.

Structure:
Unit cell a=6.410 b=6.410 c=10.935 alpha=90.00 beta=90.00 gamma=90.00
Space group I4/mcm (No. 140)
Inequivalent atoms, fractional coordinates:
Mg 0.174 0.326 0.138
Zn 0.000 0.000 0.000
Co 0.000 0.000 0.250

Peak list (10 most intense, 5 to 70 degrees two-theta, in order of falling intensity)
Position (°2θ), d_spacing, Rel. int.
19.6, 4.533, 1000
43.5, 2.080, 704
38.5, 2.341, 667
44.7, 2.027, 585
39.8, 2.266, 360
32.3, 2.773, 229
40.0, 2.253, 205
27.8, 3.205, 184
56.5, 1.628, 136
67.8, 1.383, 131



Simulated XRD peak list of TaNb2InN for Cu Kα X-rays, from a cell relaxed with PBE.

Structure:
Unit cell a=4.453 b=4.453 c=4.110 alpha=90.00 beta=90.00 gamma=90.00
Space group P4/mmm (No. 123)
Inequivalent atoms, fractional coordinates:
Ta 0.000 0.000 0.000
Nb 0.000 0.500 0.500
In 0.500 0.500 0.000
N 0.000 0.000 0.500

Peak list (10 most intense, 5 to 70 degrees two-theta, in order of falling intensity)
Position (°2θ), d_spacing, Rel. int.
35.9, 2.500, 1000
40.5, 2.227, 398
61.4, 1.510, 228
44.1, 2.055, 156
58.6, 1.574, 131
28.3, 3.149, 57
19.9, 4.453, 56
21.6, 4.110, 29
53.2, 1.721, 20
46.4, 1.958, 19